The following is a computed X-ray powder pattern of La3Tb2Cd2. It was derived from a structure optimized by DFT (PBE), using Cu Kα, 1.54184 Å.

Largest 12 diffraction maxima, sorted by position, 10 to 90 degrees two-theta:
2theta  d [Å]  I (rel.)
30.8  2.907  84
31.7  2.821  100
32.6  2.745  15
34.1  2.632  26
34.6  2.594  40
39.8  2.265  25
49.3  1.848  18
53.7  1.706  20
60.2  1.538  16
61.7  1.503  29
83.1  1.163  17
88.5  1.104  16

Unit cell a=12.050 b=12.050 c=3.550 alpha=90.00 beta=90.00 gamma=155.14
Atoms (fractional coordinates):
La: 0.000 0.000 0.000
La: 0.144 0.856 0.000
La: 0.856 0.144 0.000
Tb: 0.290 0.710 0.500
Tb: 0.710 0.290 0.500
Cd: 0.430 0.570 0.500
Cd: 0.570 0.430 0.500